Diffraction record for Sr2AcIO8. The XRD peak list is simulated, not measured: it uses DFT lattice parameters and positions (GGA-PBE) and copper Kα.
Lines closer than 0.1° are merged.

Structural model:
```
data_Sr2AcIO8
_cell_length_a 4.5681
_cell_length_b 5.5209
_cell_length_c 7.5579
_cell_angle_alpha 90.08
_cell_angle_beta 90.00
_cell_angle_gamma 93.86
_space_group_name_H-M_alt 'P -1'
_space_group_IT_number 2
_space_group_name_Hall '-P 1'
loop_
_atom_site_label
_atom_site_type_symbol
_atom_site_fract_x
_atom_site_fract_y
_atom_site_fract_z
Sr1 Sr 0.0005 0.0007 0.2693
Ac1 Ac 0.5000 0.5000 0.0000
I1 I 0.5000 0.5000 0.5000
O1 O 0.0299 0.2490 0.9999
O2 O 0.1166 0.3394 0.5009
O3 O 0.4215 0.7226 0.3150
O4 O 0.4229 0.7231 0.6855
```

The 10 most intense peaks (10 to 80 degrees two-theta), in order of falling intensity:
d_spacing	2θ (°)	Rel. int.	h k l
3.116	28.6	100	0 1 2
3.634	24.5	70	1 -1 0
3.401	26.2	62	1 1 0
2.909	30.7	52	1 0 2
2.044	44.3	42	1 -2 2
1.958	46.4	31	1 2 -2
5.508	16.1	28	0 1 0
1.652	55.7	27	0 3 -2
2.279	39.5	27	2 0 0
1.874	48.6	22	2 -1 2